Record 1
La4DyS7: calculated powder diffractogram (Cu Kα (λ = 1.5418 Å)), based on a PBE-relaxed structure.
Lines closer than 0.1° are merged.

The 8 most intense peaks (2θ from 10° to 80°), in order of falling intensity:
- 23.20 deg, d = 3.834 Å, I 100.0
- 23.52 deg, d = 3.783 Å, I 68.6
- 31.48 deg, d = 2.842 Å, I 49.2
- 29.89 deg, d = 2.989 Å, I 34.3
- 32.71 deg, d = 2.738 Å, I 33.2
- 26.35 deg, d = 3.382 Å, I 32.8
- 40.66 deg, d = 2.219 Å, I 32.7
- 25.05 deg, d = 3.554 Å, I 30.2

Cell and atoms:
a = 7.0565 Å, b = 7.0565 Å, c = 11.9601 Å
α = 104.94°, β = 104.94°, γ = 33.03°
Atoms (fractional coordinates):
La 0.0000 0.0000 0.0000
La 0.1913 0.1913 0.7664
La 0.5865 0.5865 0.3793
La 0.8878 0.8878 0.5699
Dy 0.7760 0.7760 0.1505
S 0.1597 0.1597 0.2203
S 0.2273 0.2273 0.5217
S 0.3813 0.3813 0.0766
S 0.5482 0.5482 0.6240
S 0.6309 0.6309 0.9327
S 0.8465 0.8465 0.7884
S 0.9285 0.9285 0.3501

***

Record 2
La4Dy3S8: calculated powder diffractogram (Cu Kα (λ = 1.5418 Å)), based on a PBE-relaxed structure.
Lines closer than 0.1° are merged.

The 8 most intense peaks (2θ from 10° to 80°), in order of falling intensity:
- 30.67 deg, d = 2.915 Å, I 100.0
- 26.42 deg, d = 3.373 Å, I 91.6
- 46.08 deg, d = 1.970 Å, I 85.0
- 25.56 deg, d = 3.486 Å, I 81.7
- 41.68 deg, d = 2.167 Å, I 77.6
- 23.78 deg, d = 3.742 Å, I 62.9
- 38.53 deg, d = 2.336 Å, I 61.3
- 33.01 deg, d = 2.714 Å, I 54.1

Cell and atoms:
a = 8.7553 Å, b = 8.7553 Å, c = 8.7553 Å
α = 53.48°, β = 53.48°, γ = 53.48°
Atoms (fractional coordinates):
La 0.0000 0.0000 0.0000
La 0.1497 0.1497 0.1497
La 0.5000 0.5000 0.5000
La 0.8503 0.8503 0.8503
Dy 0.0000 0.5000 0.5000
Dy 0.5000 0.0000 0.5000
Dy 0.5000 0.5000 0.0000
S 0.2494 0.2494 0.7347
S 0.2494 0.7347 0.2494
S 0.2653 0.7506 0.7506
S 0.2714 0.2714 0.2714
S 0.7286 0.7286 0.7286
S 0.7347 0.2494 0.2494
S 0.7506 0.2653 0.7506
S 0.7506 0.7506 0.2653

***

Record 3
La2Dy3S4: calculated powder diffractogram (Cu Kα (λ = 1.5418 Å)), based on a PBE-relaxed structure.
Lines closer than 0.1° are merged.

The 8 most intense peaks (2θ from 10° to 80°), in order of falling intensity:
- 32.13 deg, d = 2.786 Å, I 100.0
- 27.52 deg, d = 3.241 Å, I 71.7
- 31.33 deg, d = 2.855 Å, I 52.7
- 45.30 deg, d = 2.002 Å, I 37.1
- 27.34 deg, d = 3.262 Å, I 36.5
- 45.67 deg, d = 1.986 Å, I 36.5
- 46.07 deg, d = 1.970 Å, I 36.0
- 27.63 deg, d = 3.228 Å, I 35.4

Cell and atoms:
a = 6.8301 Å, b = 6.8301 Å, c = 9.7885 Å
α = 117.11°, β = 117.11°, γ = 33.50°
Atoms (fractional coordinates):
La 0.0987 0.0987 0.4041
La 0.9013 0.9013 0.5959
Dy 0.2933 0.2933 0.1908
Dy 0.5000 0.5000 0.0000
Dy 0.7067 0.7067 0.8092
S 0.1040 0.1040 0.9066
S 0.3022 0.3022 0.7132
S 0.6978 0.6978 0.2868
S 0.8960 0.8960 0.0934

***

Record 4
LaSmDy4S8: calculated powder diffractogram (Cu Kα (λ = 1.5418 Å)), based on a PBE-relaxed structure.
Lines closer than 0.1° are merged.

The 8 most intense peaks (2θ from 10° to 80°), in order of falling intensity:
- 25.61 deg, d = 3.479 Å, I 100.0
- 44.33 deg, d = 2.043 Å, I 39.2
- 44.57 deg, d = 2.033 Å, I 39.2
- 40.63 deg, d = 2.220 Å, I 37.5
- 25.68 deg, d = 3.468 Å, I 35.0
- 31.03 deg, d = 2.882 Å, I 27.4
- 40.73 deg, d = 2.215 Å, I 20.1
- 21.75 deg, d = 4.086 Å, I 18.4

Cell and atoms:
a = 8.1729 Å, b = 8.1729 Å, c = 8.1729 Å
α = 59.67°, β = 59.67°, γ = 59.67°
Atoms (fractional coordinates):
La 0.0000 0.0000 0.0000
Sm 0.3752 0.3752 0.3752
Dy 0.3750 0.3750 0.8713
Dy 0.3750 0.8713 0.3750
Dy 0.7485 0.7485 0.7485
Dy 0.8713 0.3750 0.3750
S 0.1325 0.1325 0.5890
S 0.1325 0.5890 0.1325
S 0.1372 0.1372 0.1372
S 0.1420 0.6218 0.6218
S 0.5890 0.1325 0.1325
S 0.6167 0.6167 0.6167
S 0.6218 0.1420 0.6218
S 0.6218 0.6218 0.1420

***

Record 5
LaDyTe2S: calculated powder diffractogram (Cu Kα (λ = 1.5418 Å)), based on a PBE-relaxed structure.
Lines closer than 0.1° are merged.

The 8 most intense peaks (2θ from 10° to 80°), in order of falling intensity:
- 28.05 deg, d = 3.181 Å, I 100.0
- 40.09 deg, d = 2.249 Å, I 49.0
- 36.32 deg, d = 2.474 Å, I 43.4
- 26.09 deg, d = 3.415 Å, I 33.5
- 39.78 deg, d = 2.266 Å, I 30.4
- 22.60 deg, d = 3.935 Å, I 23.3
- 44.78 deg, d = 2.024 Å, I 20.5
- 57.75 deg, d = 1.596 Å, I 20.4

Cell and atoms:
a = 4.4984 Å, b = 4.4984 Å, c = 15.7408 Å
α = 90.00°, β = 90.00°, γ = 90.00°
Atoms (fractional coordinates):
La 0.2500 0.2500 0.1062
La 0.7500 0.7500 0.8938
Dy 0.2500 0.2500 0.6102
Dy 0.7500 0.7500 0.3898
Te 0.2500 0.2500 0.4068
Te 0.2500 0.2500 0.7941
Te 0.7500 0.7500 0.2059
Te 0.7500 0.7500 0.5932
S 0.2500 0.7500 0.0000
S 0.7500 0.2500 0.0000

***

Record 6
La4DyTm3S8: calculated powder diffractogram (Cu Kα (λ = 1.5418 Å)), based on a PBE-relaxed structure.
Lines closer than 0.1° are merged.

The 8 most intense peaks (2θ from 10° to 80°), in order of falling intensity:
- 35.27 deg, d = 2.545 Å, I 100.0
- 26.62 deg, d = 3.349 Å, I 42.6
- 30.03 deg, d = 2.976 Å, I 39.4
- 22.71 deg, d = 3.915 Å, I 32.1
- 56.77 deg, d = 1.622 Å, I 24.8
- 37.98 deg, d = 2.369 Å, I 17.9
- 54.28 deg, d = 1.690 Å, I 14.2
- 54.83 deg, d = 1.674 Å, I 14.0

Cell and atoms:
a = 7.1992 Å, b = 7.1992 Å, c = 7.8305 Å
α = 90.00°, β = 90.00°, γ = 111.51°
Atoms (fractional coordinates):
La 0.0000 0.0000 0.0000
La 0.0000 0.5000 0.5000
La 0.5000 0.0000 0.5000
La 0.5000 0.5000 0.0000
Dy 0.0000 0.0000 0.5000
Tm 0.0000 0.5000 0.0000
Tm 0.5000 0.0000 0.0000
Tm 0.5000 0.5000 0.5000
S 0.2456 0.7544 0.2225
S 0.2456 0.7544 0.7775
S 0.2532 0.2532 0.2755
S 0.2532 0.2532 0.7245
S 0.7468 0.7468 0.2755
S 0.7468 0.7468 0.7245
S 0.7544 0.2456 0.2225
S 0.7544 0.2456 0.7775

***

Record 7
LaDySb: calculated powder diffractogram (Cu Kα (λ = 1.5418 Å)), based on a PBE-relaxed structure.
Lines closer than 0.1° are merged.

The 8 most intense peaks (2θ from 10° to 80°), in order of falling intensity:
- 34.21 deg, d = 2.621 Å, I 100.0
- 29.26 deg, d = 3.052 Å, I 97.4
- 39.20 deg, d = 2.298 Å, I 59.8
- 30.25 deg, d = 2.955 Å, I 36.6
- 50.29 deg, d = 1.814 Å, I 35.6
- 67.85 deg, d = 1.381 Å, I 27.1
- 36.14 deg, d = 2.486 Å, I 22.6
- 56.63 deg, d = 1.625 Å, I 20.3

Cell and atoms:
a = 4.5969 Å, b = 4.5969 Å, c = 8.8648 Å
α = 90.00°, β = 90.00°, γ = 90.00°
Atoms (fractional coordinates):
La 0.2500 0.2500 0.1478
La 0.7500 0.7500 0.8522
Dy 0.2500 0.7500 0.5000
Dy 0.7500 0.2500 0.5000
Sb 0.2500 0.2500 0.7669
Sb 0.7500 0.7500 0.2331

***

Record 8
La3DySb2: calculated powder diffractogram (Cu Kα (λ = 1.5418 Å)), based on a PBE-relaxed structure.
Lines closer than 0.1° are merged.

The 8 most intense peaks (2θ from 10° to 80°), in order of falling intensity:
- 38.80 deg, d = 2.321 Å, I 100.0
- 28.89 deg, d = 3.090 Å, I 83.4
- 29.04 deg, d = 3.074 Å, I 82.3
- 33.78 deg, d = 2.653 Å, I 79.3
- 33.91 deg, d = 2.643 Å, I 78.7
- 29.90 deg, d = 2.988 Å, I 65.3
- 49.74 deg, d = 1.833 Å, I 63.2
- 35.73 deg, d = 2.513 Å, I 40.1

Cell and atoms:
a = 10.0956 Å, b = 10.0956 Å, c = 10.0956 Å
α = 141.93°, β = 54.75°, γ = 142.17°
Atoms (fractional coordinates):
La 0.1772 0.2484 0.4256
La 0.2500 0.2500 0.0000
La 0.3228 0.7484 0.0712
La 0.6772 0.2516 0.9288
La 0.7500 0.7500 0.0000
La 0.8228 0.7516 0.5744
Dy 0.2500 0.7500 0.5000
Dy 0.7500 0.2500 0.5000
Sb 0.1368 0.7432 0.8800
Sb 0.3632 0.2432 0.6065
Sb 0.6368 0.7568 0.3935
Sb 0.8632 0.2568 0.1200

***

Record 9
La2TbDySb4: calculated powder diffractogram (Cu Kα (λ = 1.5418 Å)), based on a PBE-relaxed structure.
Lines closer than 0.1° are merged.

The 8 most intense peaks (2θ from 10° to 80°), in order of falling intensity:
- 27.97 deg, d = 3.189 Å, I 100.0
- 39.98 deg, d = 2.255 Å, I 76.3
- 49.46 deg, d = 1.843 Å, I 20.7
- 72.56 deg, d = 1.303 Å, I 19.4
- 65.37 deg, d = 1.427 Å, I 17.7
- 65.49 deg, d = 1.425 Å, I 16.9
- 57.82 deg, d = 1.595 Å, I 12.7
- 49.60 deg, d = 1.838 Å, I 6.6

Cell and atoms:
a = 7.7995 Å, b = 4.5164 Å, c = 7.8179 Å
α = 90.00°, β = 109.52°, γ = 90.00°
Atoms (fractional coordinates):
La 0.0000 0.0000 0.0000
La 0.0000 0.5000 0.5000
Tb 0.5000 0.0000 0.5000
Dy 0.5000 0.5000 0.0000
Sb 0.2630 0.0000 0.7548
Sb 0.2627 0.5000 0.2536
Sb 0.7370 0.0000 0.2452
Sb 0.7373 0.5000 0.7464

***

Record 10
LaDy7Sc4: calculated powder diffractogram (Cu Kα (λ = 1.5418 Å)), based on a PBE-relaxed structure.
Lines closer than 0.1° are merged.

The 8 most intense peaks (2θ from 10° to 80°), in order of falling intensity:
- 32.89 deg, d = 2.723 Å, I 100.0
- 34.65 deg, d = 2.589 Å, I 98.6
- 29.76 deg, d = 3.002 Å, I 52.1
- 32.14 deg, d = 2.785 Å, I 49.2
- 52.42 deg, d = 1.746 Å, I 36.7
- 62.78 deg, d = 1.480 Å, I 21.4
- 62.87 deg, d = 1.478 Å, I 20.9
- 60.06 deg, d = 1.541 Å, I 20.9

Cell and atoms:
a = 6.0467 Å, b = 6.9830 Å, c = 8.5980 Å
α = 90.04°, β = 103.66°, γ = 90.02°
Atoms (fractional coordinates):
La 0.0000 0.0000 0.0000
Dy 0.0000 0.5000 0.0000
Dy 0.2252 0.0009 0.6616
Dy 0.2846 0.7422 0.3408
Dy 0.4982 0.2564 0.0049
Dy 0.5018 0.7436 0.9951
Dy 0.7154 0.2578 0.6592
Dy 0.7748 0.9991 0.3384
Sc 0.2152 0.4998 0.6596
Sc 0.2745 0.2570 0.3386
Sc 0.7255 0.7430 0.6614
Sc 0.7848 0.5002 0.3404

***

Record 11
La2Dy5Sc: calculated powder diffractogram (Cu Kα (λ = 1.5418 Å)), based on a PBE-relaxed structure.
Lines closer than 0.1° are merged.

The 8 most intense peaks (2θ from 10° to 80°), in order of falling intensity:
- 30.74 deg, d = 2.909 Å, I 100.0
- 35.54 deg, d = 2.526 Å, I 34.4
- 60.87 deg, d = 1.522 Å, I 28.5
- 51.37 deg, d = 1.779 Å, I 22.8
- 35.84 deg, d = 2.505 Å, I 15.9
- 61.26 deg, d = 1.513 Å, I 12.5
- 51.14 deg, d = 1.786 Å, I 12.2
- 64.02 deg, d = 1.454 Å, I 11.7

Cell and atoms:
a = 10.6394 Å, b = 10.6394 Å, c = 10.6394 Å
α = 152.53°, β = 152.53°, γ = 39.23°
Atoms (fractional coordinates):
La 0.2503 0.2503 0.0000
La 0.7497 0.7497 0.0000
Dy 0.0000 0.0000 0.0000
Dy 0.1188 0.6188 0.5000
Dy 0.3812 0.8812 0.5000
Dy 0.6188 0.1188 0.5000
Dy 0.8812 0.3812 0.5000
Sc 0.5000 0.5000 0.0000

***

Record 12
La11Dy9Sc4: calculated powder diffractogram (Cu Kα (λ = 1.5418 Å)), based on a PBE-relaxed structure.
Lines closer than 0.1° are merged.

The 8 most intense peaks (2θ from 10° to 80°), in order of falling intensity:
- 32.31 deg, d = 2.770 Å, I 100.0
- 29.55 deg, d = 3.023 Å, I 46.6
- 30.56 deg, d = 2.926 Å, I 18.3
- 31.00 deg, d = 2.884 Å, I 17.9
- 31.74 deg, d = 2.819 Å, I 16.2
- 59.33 deg, d = 1.558 Å, I 15.9
- 28.17 deg, d = 3.167 Å, I 15.5
- 30.11 deg, d = 2.968 Å, I 15.2

Cell and atoms:
a = 15.4315 Å, b = 15.4315 Å, c = 3.6365 Å
α = 90.00°, β = 90.00°, γ = 112.95°
Atoms (fractional coordinates):
La 0.0000 0.0000 0.0000
La 0.0447 0.4046 0.0000
La 0.1593 0.8407 0.0000
La 0.2992 0.2992 0.0000
La 0.3705 0.6295 0.0000
La 0.4046 0.0447 0.0000
La 0.5954 0.9553 0.0000
La 0.6295 0.3705 0.0000
La 0.7008 0.7008 0.0000
La 0.8407 0.1593 0.0000
La 0.9553 0.5954 0.0000
Dy 0.0743 0.2171 0.5000
Dy 0.1674 0.6291 0.5000
Dy 0.2171 0.0743 0.5000
Dy 0.3709 0.8326 0.5000
Dy 0.5000 0.5000 0.5000
Dy 0.6291 0.1674 0.5000
Dy 0.7829 0.9257 0.5000
Dy 0.8326 0.3709 0.5000
Dy 0.9257 0.7829 0.5000
Sc 0.2404 0.4454 0.5000
Sc 0.4454 0.2404 0.5000
Sc 0.5546 0.7596 0.5000
Sc 0.7596 0.5546 0.5000

***

Record 13
La3Dy6Sc: calculated powder diffractogram (Cu Kα (λ = 1.5418 Å)), based on a PBE-relaxed structure.
Lines closer than 0.1° are merged.

The 8 most intense peaks (2θ from 10° to 80°), in order of falling intensity:
- 31.33 deg, d = 2.855 Å, I 100.0
- 29.42 deg, d = 3.036 Å, I 83.1
- 54.59 deg, d = 1.681 Å, I 28.7
- 43.51 deg, d = 2.080 Å, I 28.4
- 57.80 deg, d = 1.595 Å, I 19.5
- 55.77 deg, d = 1.648 Å, I 19.1
- 65.38 deg, d = 1.427 Å, I 11.7
- 73.28 deg, d = 1.292 Å, I 11.6

Cell and atoms:
a = 6.8847 Å, b = 6.8847 Å, c = 6.8847 Å
α = 91.82°, β = 91.82°, γ = 91.82°
Atoms (fractional coordinates):
La 0.0000 0.0000 0.0000
La 0.2522 0.2522 0.2522
La 0.5037 0.5037 0.5037
Dy 0.1658 0.5086 0.8253
Dy 0.3363 0.9939 0.6771
Dy 0.5086 0.8253 0.1658
Dy 0.6771 0.3363 0.9939
Dy 0.8253 0.1658 0.5086
Dy 0.9939 0.6771 0.3363
Sc 0.7519 0.7519 0.7519